# 1
Diffraction record for Y2LuFeCo8. The powder X-ray diffraction pattern is calculated, not measured: it uses a GGA-PBE-relaxed structure and Cu Kα (λ = 1.5418 Å).
Kinematic intensities with the Lorentz-polarization factor, no thermal factor.

Cell and atoms:
```
data_Y2LuFeCo8
_symmetry_space_group_name_H-M 'R -3 m'
_symmetry_Int_Tables_number 166
_symmetry_space_group_name_Hall '-R 3 2"'
_cell_length_a 5.0016
_cell_length_b 5.0016
_cell_length_c 24.0591
_cell_angle_alpha 90.00
_cell_angle_beta 90.00
_cell_angle_gamma 120.00
loop_
_atom_site_label
_atom_site_fract_x
_atom_site_fract_y
_atom_site_fract_z
Y1 0.0000 0.0000 0.1389
Lu1 0.0000 0.0000 0.0000
Fe1 0.0000 0.0000 0.5000
Co1 0.0000 0.0000 0.3338
Co2 0.0017 0.5009 0.9189
```

Main lines, in order of falling intensity (10 to 90 degrees two-theta):
| 2theta | intensity | hkl |
| --- | --- | --- |
| 42.6 | 100 | 1 1 6 |
| 35.9 | 43 | 1 1 0 |
| 41.9 | 39 | 0 2 1 |
| 36.4 | 36 | 0 1 8 |
| 33.3 | 36 | 1 0 7 |
| 69.2 | 22 | 3 0 6 |
| 76.1 | 21 | 2 2 0 |
| 42.4 | 18 | 2 0 2 |
| 45.2 | 17 | 0 0 12 |
| 49.9 | 13 | 1 1 9 |
| 64.8 | 13 | 1 2 8 |
| 11.0 | 12 | 0 0 3 |

# 2
Diffraction record for CsAlCuF6. The powder X-ray diffraction pattern is calculated, not measured: it uses a GGA-PBE-relaxed structure and Cu Kα (λ = 1.5418 Å).
Kinematic intensities with the Lorentz-polarization factor, no thermal factor.

Cell and atoms:
```
data_CsAlCuF6
_symmetry_space_group_name_H-M 'P n m a'
_symmetry_Int_Tables_number 62
_cell_length_a 6.9149
_cell_length_b 7.0218
_cell_length_c 9.8557
_cell_angle_alpha 90.00
_cell_angle_beta 90.00
_cell_angle_gamma 90.00
loop_
_symmetry_equiv_pos_as_xyz
'x,y,z'
'-x,-y,-z'
'-x+1/2,-y,z+1/2'
'x+1/2,y,-z+1/2'
'x+1/2,-y+1/2,-z+1/2'
'-x+1/2,y+1/2,z+1/2'
'-x,y+1/2,-z'
'x,-y+1/2,z'
loop_
_atom_site_label
_atom_site_fract_x
_atom_site_fract_y
_atom_site_fract_z
Cs1 0.0152 0.2500 0.1280
Al1 0.0000 0.0000 0.5000
Cu1 0.2100 0.2500 0.7595
F1 0.0469 0.7500 0.1708
F2 0.0508 0.2500 0.4658
F3 0.1410 0.0082 0.6532
F4 0.2178 0.5541 0.4087
```

Main lines, in order of falling intensity (10 to 90 degrees two-theta):
| 2theta | intensity | hkl |
| --- | --- | --- |
| 30.2 | 100 | 2 1 1 |
| 30.0 | 93 | 0 1 3 |
| 25.6 | 55 | 1 1 2 |
| 52.5 | 35 | 2 2 4 |
| 39.8 | 25 | 1 2 3 |
| 25.4 | 24 | 0 2 0 |
| 59.3 | 19 | 1 1 6 |
| 47.7 | 17 | 0 3 3 |
| 52.1 | 15 | 0 4 0 |
| 36.5 | 15 | 2 2 0 |
| 47.8 | 14 | 2 3 1 |
| 31.3 | 13 | 0 2 2 |

# 3
Diffraction record for La3Zn2Si4Au2. The powder X-ray diffraction pattern is calculated, not measured: it uses a GGA-PBE-relaxed structure and Cu Kα (λ = 1.5418 Å).
Kinematic intensities with the Lorentz-polarization factor, no thermal factor.

Cell and atoms:
```
data_La3Zn2Si4Au2
_symmetry_space_group_name_H-M 'I m m m'
_symmetry_Int_Tables_number 71
_symmetry_space_group_name_Hall '-I 2 2'
_cell_length_a 4.2889
_cell_length_b 4.3290
_cell_length_c 25.2097
_cell_angle_alpha 90.00
_cell_angle_beta 90.00
_cell_angle_gamma 90.00
loop_
_atom_site_label
_atom_site_fract_x
_atom_site_fract_y
_atom_site_fract_z
La1 0.0000 0.0000 0.0000
La2 0.0000 0.5000 0.1485
Zn1 0.0000 0.0000 0.2498
Si1 0.0000 0.0000 0.4526
Si2 0.0000 0.5000 0.3056
Au1 0.0000 0.5000 0.4041
```

Main lines, in order of falling intensity (10 to 90 degrees two-theta):
| 2theta | intensity | hkl |
| --- | --- | --- |
| 32.6 | 100 | 1 1 4 |
| 32.5 | 33 | 1 0 7 |
| 27.3 | 25 | 1 0 5 |
| 44.8 | 24 | 0 1 11 |
| 41.7 | 22 | 0 2 0 |
| 42.1 | 21 | 2 0 0 |
| 38.3 | 17 | 0 1 9 |
| 53.8 | 16 | 1 2 7 |
| 20.8 | 15 | 0 1 1 |
| 29.3 | 15 | 1 1 0 |
| 60.8 | 14 | 2 2 0 |
| 63.1 | 14 | 2 1 11 |

# 4
Diffraction record for Cu17As. The powder X-ray diffraction pattern is calculated, not measured: it uses a GGA-PBE-relaxed structure and Cu Kα (λ = 1.5418 Å).
Kinematic intensities with the Lorentz-polarization factor, no thermal factor.

Cell and atoms:
```
data_Cu17As
_symmetry_space_group_name_H-M 'P -3 m 1'
_symmetry_Int_Tables_number 164
_symmetry_space_group_name_Hall '-P 3 2"'
_cell_length_a 5.0812
_cell_length_b 5.0812
_cell_length_c 31.3608
_cell_angle_alpha 90.00
_cell_angle_beta 90.00
_cell_angle_gamma 120.00
loop_
_atom_site_label
_atom_site_fract_x
_atom_site_fract_y
_atom_site_fract_z
Cu1 0.0000 0.0000 0.0000
Cu2 0.0000 0.0000 0.1983
Cu3 0.0000 0.5000 0.0000
Cu4 0.0015 0.5008 0.1993
Cu5 0.1664 0.3327 0.7340
Cu6 0.1668 0.3335 0.1324
Cu7 0.1669 0.3338 0.9338
Cu8 0.3333 0.6667 0.0660
Cu9 0.3333 0.6667 0.8666
As1 0.3333 0.6667 0.2736
```

Main lines, in order of falling intensity (10 to 90 degrees two-theta):
| 2theta | intensity | hkl |
| --- | --- | --- |
| 43.6 | 100 | 2 0 5 |
| 50.7 | 62 | 0 2 10 |
| 43.3 | 33 | 0 0 15 |
| 42.7 | 29 | 2 0 4 |
| 74.8 | 27 | 2 2 0 |
| 44.7 | 26 | 2 0 6 |
| 49.0 | 19 | 0 2 9 |
| 11.3 | 19 | 0 0 4 |
| 74.3 | 17 | 2 0 20 |
| 52.5 | 15 | 0 2 11 |
| 40.3 | 11 | 0 0 14 |
| 46.3 | 7 | 0 0 16 |

# 5
Diffraction record for ZnAsPbF. The powder X-ray diffraction pattern is calculated, not measured: it uses a GGA-PBE-relaxed structure and Cu Kα (λ = 1.5418 Å).
Kinematic intensities with the Lorentz-polarization factor, no thermal factor.

Cell and atoms:
```
data_ZnAsPbF
_symmetry_space_group_name_H-M 'R -3 m'
_symmetry_Int_Tables_number 166
_symmetry_space_group_name_Hall '-R 3 2"'
_cell_length_a 4.1753
_cell_length_b 4.1753
_cell_length_c 32.2085
_cell_angle_alpha 90.00
_cell_angle_beta 90.00
_cell_angle_gamma 120.00
loop_
_atom_site_label
_atom_site_fract_x
_atom_site_fract_y
_atom_site_fract_z
Zn1 0.0000 0.0000 0.1952
As1 0.0000 0.0000 0.1142
Pb1 0.0000 0.0000 0.3876
F1 0.0000 0.0000 0.3064
```

Main lines, in order of falling intensity (10 to 90 degrees two-theta):
| 2theta | intensity | hkl |
| --- | --- | --- |
| 27.0 | 100 | 1 0 4 |
| 43.3 | 62 | 1 1 0 |
| 37.4 | 53 | 1 0 10 |
| 28.3 | 40 | 0 1 5 |
| 33.3 | 34 | 0 0 12 |
| 55.8 | 25 | 1 1 12 |
| 46.8 | 24 | 0 1 14 |
| 69.2 | 19 | 1 0 22 |
| 51.8 | 17 | 0 2 4 |
| 69.8 | 14 | 2 1 4 |
| 58.5 | 14 | 0 2 10 |
| 75.6 | 13 | 2 1 10 |

# 6
Diffraction record for PrTmNi8B2. The powder X-ray diffraction pattern is calculated, not measured: it uses a GGA-PBE-relaxed structure and Cu Kα (λ = 1.5418 Å).
Kinematic intensities with the Lorentz-polarization factor, no thermal factor.

Cell and atoms:
```
data_PrTmNi8B2
_symmetry_space_group_name_H-M 'P 6/m m m'
_symmetry_Int_Tables_number 191
_symmetry_space_group_name_Hall '-P 6 2'
_cell_length_a 5.0159
_cell_length_b 5.0159
_cell_length_c 7.0013
_cell_angle_alpha 90.00
_cell_angle_beta 90.00
_cell_angle_gamma 120.00
loop_
_atom_site_label
_atom_site_fract_x
_atom_site_fract_y
_atom_site_fract_z
Pr1 0.0000 0.0000 0.0000
Tm1 0.0000 0.0000 0.5000
Ni1 0.0000 0.5000 0.2960
Ni2 0.3333 0.6667 0.0000
B1 0.3333 0.6667 0.5000
```

Main lines, in order of falling intensity (10 to 90 degrees two-theta):
| 2theta | intensity | hkl |
| --- | --- | --- |
| 44.4 | 100 | 1 1 2 |
| 32.9 | 87 | 1 0 2 |
| 41.6 | 75 | 2 0 0 |
| 35.8 | 31 | 1 1 0 |
| 62.5 | 28 | 2 1 2 |
| 70.4 | 24 | 3 0 2 |
| 75.9 | 21 | 2 2 0 |
| 65.0 | 16 | 1 1 4 |
| 68.9 | 13 | 2 0 4 |
| 43.6 | 13 | 2 0 1 |
| 52.3 | 12 | 0 0 4 |
| 20.4 | 12 | 1 0 0 |

# 7
Diffraction record for Ho4I2Br3N. The powder X-ray diffraction pattern is calculated, not measured: it uses a GGA-PBE-relaxed structure and Cu Kα (λ = 1.5418 Å).
Kinematic intensities with the Lorentz-polarization factor, no thermal factor.

Cell and atoms:
```
data_Ho4I2Br3N
_symmetry_space_group_name_H-M 'C 1 2/m 1'
_symmetry_Int_Tables_number 12
_cell_length_a 18.3005
_cell_length_b 3.7904
_cell_length_c 8.0893
_cell_angle_alpha 90.00
_cell_angle_beta 101.88
_cell_angle_gamma 90.00
loop_
_symmetry_equiv_pos_as_xyz
'x,y,z'
'-x,-y,-z'
'-x,y,-z'
'x,-y,z'
'x+1/2,y+1/2,z'
'-x+1/2,-y+1/2,-z'
'-x+1/2,y+1/2,-z'
'x+1/2,-y+1/2,z'
loop_
_atom_site_label
_atom_site_fract_x
_atom_site_fract_y
_atom_site_fract_z
Ho1 0.0010 0.0000 0.3024
Ho2 0.1292 0.5000 0.5659
I1 0.1708 0.0000 0.3064
Br1 0.0000 0.5000 0.0000
Br2 0.1562 0.0000 0.8343
N1 0.0000 0.5000 0.5000
```

Main lines, in order of falling intensity (10 to 90 degrees two-theta):
| 2theta | intensity | hkl |
| --- | --- | --- |
| 32.4 | 100 | 1 1 -2 |
| 11.2 | 59 | 0 0 1 |
| 29.9 | 40 | 6 0 0 |
| 44.9 | 33 | 2 0 -4 |
| 34.5 | 27 | 5 1 0 |
| 44.4 | 23 | 5 1 2 |
| 34.6 | 20 | 5 1 -1 |
| 48.0 | 19 | 0 2 0 |
| 31.3 | 18 | 3 1 1 |
| 37.5 | 14 | 2 0 3 |
| 28.9 | 14 | 3 1 -1 |
| 33.7 | 14 | 6 0 -2 |

# 8
Diffraction record for CuNi3As5. The powder X-ray diffraction pattern is calculated, not measured: it uses a GGA-PBE-relaxed structure and Cu Kα (λ = 1.5418 Å).
Kinematic intensities with the Lorentz-polarization factor, no thermal factor.

Cell and atoms:
```
data_CuNi3As5
_symmetry_space_group_name_H-M 'P 6/m m m'
_symmetry_Int_Tables_number 191
_symmetry_space_group_name_Hall '-P 6 2'
_cell_length_a 4.9114
_cell_length_b 4.9114
_cell_length_c 7.1779
_cell_angle_alpha 90.00
_cell_angle_beta 90.00
_cell_angle_gamma 120.00
loop_
_atom_site_label
_atom_site_fract_x
_atom_site_fract_y
_atom_site_fract_z
Cu1 0.0000 0.0000 0.0000
Ni1 0.0000 0.5000 0.5000
As1 0.0000 0.0000 0.5000
As2 0.3333 0.6667 0.2140
```

Main lines, in order of falling intensity (10 to 90 degrees two-theta):
| 2theta | intensity | hkl |
| --- | --- | --- |
| 49.8 | 100 | 2 0 2 |
| 36.6 | 82 | 1 1 0 |
| 32.6 | 72 | 1 0 2 |
| 12.3 | 47 | 0 0 1 |
| 44.4 | 35 | 2 0 1 |
| 37.6 | 26 | 0 0 3 |
| 44.7 | 24 | 1 1 2 |
| 77.8 | 23 | 2 2 0 |
| 63.4 | 20 | 2 1 2 |
| 50.9 | 19 | 0 0 4 |
| 43.4 | 16 | 1 0 3 |
| 64.3 | 15 | 1 1 4 |

# 9
Diffraction record for Tm4Co2SnGe4. The powder X-ray diffraction pattern is calculated, not measured: it uses a GGA-PBE-relaxed structure and Cu Kα (λ = 1.5418 Å).
Kinematic intensities with the Lorentz-polarization factor, no thermal factor.

Cell and atoms:
```
data_Tm4Co2SnGe4
_symmetry_space_group_name_H-M 'C 1 2/m 1'
_symmetry_Int_Tables_number 12
_cell_length_a 15.2690
_cell_length_b 4.1908
_cell_length_c 6.9725
_cell_angle_alpha 90.00
_cell_angle_beta 108.40
_cell_angle_gamma 90.00
loop_
_symmetry_equiv_pos_as_xyz
'x,y,z'
'-x,-y,-z'
'-x,y,-z'
'x,-y,z'
'x+1/2,y+1/2,z'
'-x+1/2,-y+1/2,-z'
'-x+1/2,y+1/2,-z'
'x+1/2,-y+1/2,z'
loop_
_atom_site_label
_atom_site_fract_x
_atom_site_fract_y
_atom_site_fract_z
Tm1 0.0889 0.0000 0.3847
Tm2 0.1555 0.0000 0.9402
Co1 0.2210 0.5000 0.6198
Sn1 0.0000 0.5000 0.0000
Ge1 0.0704 0.5000 0.6570
Ge2 0.2069 0.5000 0.2655
```

Main lines, in order of falling intensity (10 to 90 degrees two-theta):
| 2theta | intensity | hkl |
| --- | --- | --- |
| 34.9 | 100 | 3 1 -2 |
| 33.8 | 87 | 3 1 1 |
| 36.6 | 80 | 1 1 2 |
| 43.2 | 53 | 0 2 0 |
| 35.3 | 39 | 6 0 -1 |
| 37.7 | 30 | 5 1 0 |
| 28.2 | 27 | 3 1 0 |
| 73.8 | 26 | 3 3 -2 |
| 40.9 | 22 | 0 0 3 |
| 38.6 | 21 | 6 0 -2 |
| 33.5 | 21 | 1 1 -2 |
| 57.0 | 20 | 6 2 -1 |

# 10
Diffraction record for Nd2CuSb4Mo. The powder X-ray diffraction pattern is calculated, not measured: it uses a GGA-PBE-relaxed structure and Cu Kα (λ = 1.5418 Å).
Kinematic intensities with the Lorentz-polarization factor, no thermal factor.

Cell and atoms:
```
data_Nd2CuSb4Mo
_symmetry_space_group_name_H-M 'P -4 m 2'
_symmetry_Int_Tables_number 115
_cell_length_a 4.3198
_cell_length_b 4.3198
_cell_length_c 10.6840
_cell_angle_alpha 90.00
_cell_angle_beta 90.00
_cell_angle_gamma 90.00
loop_
_symmetry_equiv_pos_as_xyz
'x,y,z'
'y,-x,-z'
'-x,-y,z'
'-y,x,-z'
'-x,y,z'
'-y,-x,-z'
'x,-y,z'
'y,x,-z'
loop_
_atom_site_label
_atom_site_fract_x
_atom_site_fract_y
_atom_site_fract_z
Nd1 0.0000 0.5000 0.2357
Cu1 0.0000 0.0000 0.5000
Sb1 0.0000 0.0000 0.0000
Sb2 0.0000 0.5000 0.6567
Sb3 0.5000 0.5000 0.0000
Mo1 0.5000 0.5000 0.5000
```

Main lines, in order of falling intensity (10 to 90 degrees two-theta):
| 2theta | intensity | hkl |
| --- | --- | --- |
| 33.8 | 100 | 1 1 2 |
| 41.8 | 39 | 2 0 0 |
| 26.5 | 23 | 1 0 2 |
| 71.3 | 22 | 3 1 2 |
| 32.6 | 19 | 1 0 3 |
| 47.5 | 15 | 1 0 5 |
| 60.6 | 13 | 2 2 0 |
| 65.1 | 12 | 2 1 5 |
| 33.6 | 11 | 0 0 4 |
| 54.6 | 10 | 2 0 4 |
| 54.0 | 9 | 2 1 3 |
| 50.2 | 8 | 2 1 2 |

# 11
Diffraction record for Hf4Nb2Bi3C3. The powder X-ray diffraction pattern is calculated, not measured: it uses a GGA-PBE-relaxed structure and Cu Kα (λ = 1.5418 Å).
Kinematic intensities with the Lorentz-polarization factor, no thermal factor.

Cell and atoms:
```
data_Hf4Nb2Bi3C3
_symmetry_space_group_name_H-M 'C 1 2/c 1'
_symmetry_Int_Tables_number 15
_cell_length_a 10.3345
_cell_length_b 5.9872
_cell_length_c 14.3189
_cell_angle_alpha 90.00
_cell_angle_beta 103.93
_cell_angle_gamma 90.00
loop_
_symmetry_equiv_pos_as_xyz
'x,y,z'
'-x,-y,-z'
'-x,y,-z+1/2'
'x,-y,z+1/2'
'x+1/2,y+1/2,z'
'-x+1/2,-y+1/2,-z'
'-x+1/2,y+1/2,-z+1/2'
'x+1/2,-y+1/2,z+1/2'
loop_
_atom_site_label
_atom_site_fract_x
_atom_site_fract_y
_atom_site_fract_z
Hf1 0.1108 0.0845 0.0826
Hf2 0.2228 0.0826 0.4175
Nb1 0.0575 0.4172 0.9247
Bi1 0.0000 0.0912 0.7500
Bi2 0.1626 0.4210 0.2500
C1 0.0851 0.2454 0.5000
C2 0.2500 0.2500 0.0000
```

Main lines, in order of falling intensity (10 to 90 degrees two-theta):
| 2theta | intensity | hkl |
| --- | --- | --- |
| 35.8 | 100 | 3 1 2 |
| 29.9 | 24 | 0 2 0 |
| 38.9 | 17 | 0 0 6 |
| 68.4 | 15 | 3 1 8 |
| 53.0 | 15 | 3 3 -1 |
| 49.8 | 14 | 0 2 6 |
| 67.7 | 14 | 3 3 5 |
| 65.7 | 11 | 6 2 1 |
| 53.2 | 7 | 6 0 -2 |
| 65.5 | 6 | 0 4 3 |
| 89.2 | 5 | 6 4 1 |
| 89.1 | 5 | 3 5 2 |

# 12
Diffraction record for Nb4Sn5Pd5. The powder X-ray diffraction pattern is calculated, not measured: it uses a GGA-PBE-relaxed structure and Cu Kα (λ = 1.5418 Å).
Kinematic intensities with the Lorentz-polarization factor, no thermal factor.

Cell and atoms:
```
data_Nb4Sn5Pd5
_symmetry_space_group_name_H-M 'I -4'
_symmetry_Int_Tables_number 82
_cell_length_a 9.8501
_cell_length_b 9.8501
_cell_length_c 6.2296
_cell_angle_alpha 90.00
_cell_angle_beta 90.00
_cell_angle_gamma 90.00
loop_
_symmetry_equiv_pos_as_xyz
'x,y,z'
'y,-x,-z'
'-x,-y,z'
'-y,x,-z'
'x+1/2,y+1/2,z+1/2'
'y+1/2,-x+1/2,-z+1/2'
'-x+1/2,-y+1/2,z+1/2'
'-y+1/2,x+1/2,-z+1/2'
loop_
_atom_site_label
_atom_site_fract_x
_atom_site_fract_y
_atom_site_fract_z
Nb1 0.1004 0.2996 0.0019
Sn1 0.0000 0.0000 0.0000
Sn2 0.0908 0.2858 0.5075
Pd1 0.0000 0.5000 0.7500
Pd2 0.1051 0.7879 0.2309
```

Main lines, in order of falling intensity (10 to 90 degrees two-theta):
| 2theta | intensity | hkl |
| --- | --- | --- |
| 41.0 | 100 | 1 3 2 |
| 24.8 | 39 | 2 1 1 |
| 74.6 | 31 | 4 2 4 |
| 48.5 | 18 | 3 4 1 |
| 59.3 | 16 | 0 0 4 |
| 28.7 | 12 | 0 0 2 |
| 88.9 | 10 | 2 6 4 |
| 65.3 | 6 | 5 0 3 |
| 80.0 | 5 | 2 1 5 |
| 67.2 | 5 | 1 3 4 |
| 50.8 | 4 | 4 2 2 |
| 35.9 | 3 | 3 2 1 |